This entry pairs a crystal structure of Tm3Zn2 with its calculated XRD peak list. Radiation: Cu Kα (weighted mean of Kα1 and Kα2). Structure: a PBE-relaxed structure.

Structure:
```
Tm3Zn2
1.0
3.5129 0.0000 0.0000
0.0000 3.5129 0.0000
0.0000 0.0000 19.1135
Tm Zn
6 4
direct
0.0000 0.0000 0.0000 Tm
0.0000 0.0000 0.1843 Tm
0.0000 0.0000 0.3689 Tm
0.0000 0.0000 0.6311 Tm
0.0000 0.0000 0.8157 Tm
0.5000 0.5000 0.5000 Tm
0.5000 0.5000 0.0931 Zn
0.5000 0.5000 0.2763 Zn
0.5000 0.5000 0.7237 Zn
0.5000 0.5000 0.9069 Zn
```

Largest 10 diffraction maxima, in order of falling intensity, 10 to 90 degrees two-theta:
2θ (°), I/Imax
34.68, 100
36.16, 66
64.08, 33
52.07, 23
38.14, 21
31.61, 16
25.35, 14
65.56, 12
87.89, 11
59.34, 10

=====

This entry pairs a crystal structure of Tb3PrTh2 with its calculated XRD peak list. Radiation: Cu Kα (weighted mean of Kα1 and Kα2). Structure: a PBE-relaxed structure.

Structure:
```
Tb3PrTh2
1.0
10.1517 0.0000 0.0000
0.0000 3.5943 0.0000
-0.0866 0.0000 10.7727
Tb Pr Th
6 2 4
direct
0.1247 0.2500 0.2501 Tb
0.1292 0.2500 0.5828 Tb
0.3647 0.7500 0.0823 Tb
0.6353 0.2500 0.9177 Tb
0.8708 0.7500 0.4172 Tb
0.8753 0.7500 0.7499 Tb
0.3770 0.7500 0.7503 Pr
0.6230 0.2500 0.2497 Pr
0.1184 0.2500 0.9196 Th
0.3753 0.7500 0.4201 Th
0.6247 0.2500 0.5799 Th
0.8816 0.7500 0.0804 Th
```

Largest 10 diffraction maxima, in order of falling intensity, 10 to 90 degrees two-theta:
2θ (°), I/Imax
30.44, 100
35.34, 67
30.61, 33
60.32, 24
60.48, 19
50.83, 16
50.70, 16
51.01, 16
60.59, 10
63.42, 8

=====

This entry pairs a crystal structure of Mg4Ga4Ir with its calculated XRD peak list. Radiation: Cu Kα (weighted mean of Kα1 and Kα2). Structure: a PBE-relaxed structure.

Structure:
```
Mg4Ga4Ir
1.0
-2.8106 2.8106 5.8501
2.8106 -2.8106 5.8501
2.8106 2.8106 -5.8501
Mg Ga Ir
4 4 1
direct
0.2076 0.2076 0.6033 Mg
0.3957 0.7924 0.0000 Mg
0.6043 0.6043 0.3967 Mg
0.7924 0.3957 0.0000 Mg
0.0292 0.6311 0.0000 Ga
0.3689 0.3689 0.3981 Ga
0.6311 0.0292 0.0000 Ga
0.9708 0.9708 0.6019 Ga
0.0000 0.0000 0.0000 Ir
```

Largest 10 diffraction maxima, in order of falling intensity, 10 to 90 degrees two-theta:
2θ (°), I/Imax
17.50, 100
36.56, 48
27.12, 42
38.20, 41
22.37, 35
42.80, 34
35.43, 34
44.72, 27
54.32, 21
45.65, 20

=====

This entry pairs a crystal structure of Pa3Ni2S4 with its calculated XRD peak list. Radiation: Cu Kα (weighted mean of Kα1 and Kα2). Structure: a PBE-relaxed structure.

Structure:
```
Pa3Ni2S4
1.0
-1.7359 3.8430 6.2510
1.7359 -3.8430 6.2510
1.7359 3.8430 -6.2510
Pa Ni S
3 2 4
direct
0.0000 0.0000 0.0000 Pa
0.3345 0.8345 0.5000 Pa
0.6655 0.1655 0.5000 Pa
0.3524 0.5000 0.8524 Ni
0.6476 0.5000 0.1476 Ni
0.0558 0.3577 0.6981 S
0.3404 0.6423 0.6981 S
0.6596 0.3577 0.3019 S
0.9442 0.6423 0.3019 S
```

Largest 10 diffraction maxima, in order of falling intensity, 10 to 90 degrees two-theta:
2θ (°), I/Imax
24.30, 100
31.70, 95
35.58, 76
41.37, 65
40.57, 58
23.14, 50
69.14, 29
43.43, 28
55.12, 21
58.87, 19

=====

This entry pairs a crystal structure of CaP2H2O7 with its calculated XRD peak list. Radiation: Cu Kα (weighted mean of Kα1 and Kα2). Structure: a PBE-relaxed structure.

Structure:
```
CaP2H2O7
1.0
3.7241 -4.0633 0.0000
3.7241 4.0633 0.0000
-1.8178 0.0000 9.7979
Ca P H O
2 4 4 14
direct
0.0000 0.0000 0.0000 Ca
0.0000 0.0000 0.5000 Ca
0.2183 0.4512 0.8086 P
0.4512 0.2183 0.3086 P
0.5488 0.7817 0.6914 P
0.7817 0.5488 0.1914 P
0.0818 0.4893 0.3476 H
0.4893 0.0818 0.8476 H
0.5107 0.9182 0.1524 H
0.9182 0.5107 0.6524 H
0.0221 0.3696 0.6745 O
0.1427 0.6658 0.8948 O
0.2222 0.2647 0.3741 O
0.2647 0.2222 0.8741 O
0.3342 0.8573 0.6052 O
0.3696 0.0221 0.1745 O
0.4729 0.5271 0.7500 O
0.5271 0.4729 0.2500 O
0.6304 0.9779 0.8255 O
0.6658 0.1427 0.3948 O
0.7353 0.7778 0.1259 O
0.7778 0.7353 0.6259 O
0.8573 0.3342 0.1052 O
0.9779 0.6304 0.3255 O
```

Largest 10 diffraction maxima, in order of falling intensity, 10 to 90 degrees two-theta:
2θ (°), I/Imax
26.07, 100
27.63, 65
23.71, 52
19.71, 23
32.95, 14
41.04, 12
40.17, 12
18.11, 11
48.33, 11
61.73, 10

=====

This entry pairs a crystal structure of Na5B7C3 with its calculated XRD peak list. Radiation: Cu Kα (weighted mean of Kα1 and Kα2). Structure: a PBE-relaxed structure.

Structure:
```
Na5B7C3
1.0
8.9339 -1.4199 0.0000
8.9339 1.4199 0.0000
-5.2774 0.0000 12.2672
Na B C
10 14 6
direct
0.0000 0.0000 0.0000 Na
0.0000 0.0000 0.4969 Na
0.1999 0.1999 0.3986 Na
0.2015 0.2015 0.9000 Na
0.3999 0.3999 0.2990 Na
0.4001 0.4001 0.8000 Na
0.5992 0.5992 0.2005 Na
0.6020 0.6020 0.6982 Na
0.7979 0.7979 0.5998 Na
0.8027 0.8027 0.1008 Na
0.0288 0.0288 0.8058 B
0.0308 0.0308 0.3104 B
0.1672 0.1672 0.5840 B
0.1750 0.1750 0.0986 B
0.2402 0.2402 0.7287 B
0.3700 0.3700 0.4892 B
0.4340 0.4340 0.1172 B
0.5691 0.5691 0.8865 B
0.6267 0.6267 0.5026 B
0.6335 0.6335 0.0154 B
0.7656 0.7656 0.2798 B
0.8324 0.8324 0.4130 B
0.8374 0.8374 0.9234 B
0.9613 0.9613 0.6721 B
0.2348 0.2348 0.2183 C
0.3689 0.3689 0.9870 C
0.4314 0.4314 0.6134 C
0.5633 0.5633 0.3751 C
0.7722 0.7722 0.7919 C
0.9660 0.9660 0.1812 C
```

Largest 10 diffraction maxima, in order of falling intensity, 10 to 90 degrees two-theta:
2θ (°), I/Imax
42.06, 100
41.08, 50
42.22, 38
63.60, 17
36.17, 17
79.33, 17
77.08, 13
35.05, 11
80.55, 10
56.78, 10